(1)
For Pm3CdAg4, a cell relaxed with GGA-PBE gives the theoretical XRD peak list in this record (Cu Kα (weighted mean of Kα1 and Kα2)).

Largest 12 diffraction maxima, in order of rising 2θ, 10° ≤ 2θ ≤ 80°:
d [Å]	Position (°2θ)	I (rel.)
3.653	24.37	1
3.353	26.58	1
2.816	31.78	1
2.583	34.73	100
1.903	47.80	1
1.827	49.93	17
1.633	56.32	1
1.494	62.15	8
1.491	62.28	26
1.414	66.06	1
1.293	73.22	5
1.290	73.37	5

```
data_Pm3CdAg4
_chemical_formula_sum 'Pm9 Cd3 Ag12'
_space_group_name_H-M_alt 'R -3 m'
_space_group_IT_number 166
_space_group_name_Hall '-R 3 2"'
_cell_length_a 5.1619
_cell_length_b 5.1619
_cell_length_c 25.3538
_cell_angle_alpha 90.00
_cell_angle_beta 90.00
_cell_angle_gamma 120.00
loop_
_atom_site_label
_atom_site_type_symbol
_atom_site_fract_x
_atom_site_fract_y
_atom_site_fract_z
Pm1 Pm 0.0000 0.0000 0.0000
Pm2 Pm 0.0000 0.0000 0.2434
Cd1 Cd 0.0000 0.0000 0.5000
Ag1 Ag 0.0000 0.0000 0.1227
Ag2 Ag 0.0000 0.0000 0.3737
```

---

(2)
For Na2ClF, a cell relaxed with GGA-PBE gives the theoretical XRD peak list in this record (Cu Kα (weighted mean of Kα1 and Kα2)).

Largest 12 diffraction maxima, in order of rising 2θ, 10° ≤ 2θ ≤ 80°:
d [Å]	Position (°2θ)	I (rel.)
3.077	29.02	9
2.966	30.13	89
2.619	34.23	10
2.427	37.05	100
2.067	43.79	78
1.799	50.74	58
1.611	57.17	10
1.538	60.14	10
1.445	64.47	16
1.357	69.22	16
1.263	75.26	8
1.200	79.92	19

```
data_Na2ClF
_chemical_formula_sum 'Na6 Cl3 F3'
_space_group_name_H-M_alt 'R 3 m'
_space_group_IT_number 160
_space_group_name_Hall 'R 3 -2"'
_cell_length_a 3.5989
_cell_length_b 3.5989
_cell_length_c 19.3348
_cell_angle_alpha 90.00
_cell_angle_beta 90.00
_cell_angle_gamma 120.00
loop_
_atom_site_label
_atom_site_type_symbol
_atom_site_fract_x
_atom_site_fract_y
_atom_site_fract_z
Na1 Na 0.0000 0.0000 0.0000
Na2 Na 0.0000 0.0000 0.1479
Cl1 Cl 0.0000 0.0000 0.5748
F1 F 0.0000 0.0000 0.4050
```